[1]
For Ho3Si3Ir2, a cell relaxed with GGA-PBE gives the theoretical powder diffraction line list in this record (Cu Kα (weighted mean of Kα1 and Kα2)).
Intensities are scaled so that the largest is 100.

Largest 12 diffraction maxima, by angle, 2θ = 10–90°:
2θ = 25.7°, I 19.0; 2θ = 27.4°, I 50.4; 2θ = 34.3°, I 100.0; 2θ = 36.1°, I 21.3; 2θ = 37.9°, I 33.6; 2θ = 38.0°, I 27.3; 2θ = 38.9°, I 24.5; 2θ = 39.1°, I 64.2; 2θ = 42.4°, I 25.9; 2θ = 48.5°, I 18.8; 2θ = 58.0°, I 22.6; 2θ = 60.6°, I 24.1

Crystal structure
Cell lengths 7.958, 13.878, 5.646 Å; angles 90.00, 90.00, 90.00 degrees
Positions (direct):
Ho  0.046  0.114  0.120
Ho  0.046  0.386  0.120
Ho  0.195  0.250  0.627
Ho  0.305  0.750  0.127
Ho  0.454  0.614  0.620
Ho  0.454  0.886  0.620
Ho  0.546  0.114  0.380
Ho  0.546  0.386  0.380
Ho  0.695  0.250  0.873
Ho  0.805  0.750  0.373
Ho  0.954  0.614  0.880
Ho  0.954  0.886  0.880
Si  0.157  0.750  0.598
Si  0.198  0.040  0.629
Si  0.198  0.460  0.629
Si  0.302  0.540  0.129
Si  0.302  0.960  0.129
Si  0.343  0.250  0.098
Si  0.657  0.750  0.902
Si  0.698  0.040  0.871
Si  0.698  0.460  0.871
Si  0.802  0.540  0.371
Si  0.802  0.960  0.371
Si  0.843  0.250  0.402
Ir  0.085  0.592  0.390
Ir  0.085  0.908  0.390
Ir  0.415  0.092  0.890
Ir  0.415  0.408  0.890
Ir  0.585  0.592  0.110
Ir  0.585  0.908  0.110
Ir  0.915  0.092  0.610
Ir  0.915  0.408  0.610

---

[2]
For Ho3Si2Ir5, a cell relaxed with GGA-PBE gives the theoretical powder diffraction line list in this record (Cu Kα (weighted mean of Kα1 and Kα2)).
Intensities are scaled so that the largest is 100.

Largest 12 diffraction maxima, by angle, 2θ = 10–90°:
2θ = 32.1°, I 59.6; 2θ = 35.9°, I 36.1; 2θ = 37.5°, I 61.8; 2θ = 38.2°, I 100.0; 2θ = 40.9°, I 37.3; 2θ = 41.5°, I 35.1; 2θ = 50.8°, I 25.9; 2θ = 62.0°, I 15.7; 2θ = 64.9°, I 25.3; 2θ = 65.9°, I 18.7; 2θ = 67.2°, I 17.4; 2θ = 72.6°, I 20.1

Crystal structure
Cell lengths 9.878, 9.878, 3.592 Å; angles 90.00, 90.00, 90.00 degrees
Positions (direct):
Ho  0.000  0.000  0.000
Ho  0.174  0.326  0.000
Ho  0.326  0.826  0.000
Ho  0.500  0.500  0.000
Ho  0.674  0.174  0.000
Ho  0.826  0.674  0.000
Si  0.123  0.623  0.000
Si  0.377  0.123  0.000
Si  0.623  0.877  0.000
Si  0.877  0.377  0.000
Ir  0.000  0.500  0.500
Ir  0.069  0.779  0.500
Ir  0.221  0.069  0.500
Ir  0.279  0.569  0.500
Ir  0.431  0.279  0.500
Ir  0.500  0.000  0.500
Ir  0.569  0.721  0.500
Ir  0.721  0.431  0.500
Ir  0.779  0.931  0.500
Ir  0.931  0.221  0.500